This entry pairs a crystal structure of Na2GaPd3 with its simulated PXRD pattern. Radiation: Cu Ka. Structure: a cell relaxed with PBE.
Peak positions follow from Bragg's law for the DFT cell and can differ from measured ones.

Peak list (10 most intense, 2θ = 5–70°, in order of rising 2θ)
19.81°, rel. 84, hkl 1 0 1; 21.93°, rel. 50, hkl 0 0 3; 38.06°, rel. 60, hkl 0 2 1; 39.27°, rel. 61, hkl 1 1 3; 40.25°, rel. 100, hkl 2 0 2; 41.59°, rel. 27, hkl 0 1 5; 44.72°, rel. 24, hkl 0 0 6; 48.18°, rel. 45, hkl 0 2 4; 62.14°, rel. 15, hkl 3 0 3; 67.29°, rel. 26, hkl 2 2 0

Crystal structure
Unit cell a=5.5661 b=5.5661 c=12.1599 alpha=90.00 beta=90.00 gamma=120.00
Space group R-3m (No. 166, hexagonal axes)
Asymmetric unit:
1 Na 0.0000 0.0000 0.1217 [6 per cell]
2 Ga 0.0000 0.0000 0.5000 [3 per cell]
3 Pd 0.0000 0.5000 0.0000 [9 per cell]

=====

This entry pairs a crystal structure of NaGa8Pd4 with its simulated PXRD pattern. Radiation: Cu Ka. Structure: a cell relaxed with PBE.
Peak positions follow from Bragg's law for the DFT cell and can differ from measured ones.

Peak list (10 most intense, 2θ = 5–70°, in order of rising 2θ)
14.14°, rel. 11, hkl 1 1 0; 20.05°, rel. 56, hkl 2 0 0; 34.34°, rel. 18, hkl 3 0 1; 38.05°, rel. 74, hkl 2 0 2; 40.08°, rel. 44, hkl 3 2 1; 40.74°, rel. 54, hkl 4 0 0; 43.38°, rel. 100, hkl 2 2 2; 45.21°, rel. 28, hkl 4 1 1; 45.81°, rel. 49, hkl 4 2 0; 66.91°, rel. 12, hkl 0 0 4

Crystal structure
Unit cell a=8.859 b=8.859 c=5.593 alpha=90.00 beta=90.00 gamma=90.00
Space group I4/mmm (No. 139)
Asymmetric unit:
1 Na 0.000 0.000 0.000 [2 per cell]
2 Ga 0.000 0.221 0.500 [8 per cell]
3 Ga 0.000 0.348 0.000 [8 per cell]
4 Pd 0.250 0.250 0.250 [8 per cell]

=====

This entry pairs a crystal structure of Na2Ga2Pd with its simulated PXRD pattern. Radiation: Cu Ka. Structure: a cell relaxed with PBE.
Peak positions follow from Bragg's law for the DFT cell and can differ from measured ones.

Peak list (10 most intense, 2θ = 5–70°, in order of rising 2θ)
17.42°, rel. 100, hkl 0 0 1; 26.02°, rel. 12, hkl 1 1 1; 30.55°, rel. 14, hkl 2 1 0; 32.53°, rel. 26, hkl 2 0 1; 35.25°, rel. 37, hkl 0 0 2; 35.38°, rel. 67, hkl 2 1 1; 43.76°, rel. 39, hkl 3 1 0; 47.43°, rel. 40, hkl 3 1 1; 53.55°, rel. 12, hkl 2 2 2; 57.39°, rel. 34, hkl 3 1 2

Crystal structure
Unit cell a=6.542 b=6.542 c=5.092 alpha=90.00 beta=90.00 gamma=90.00
Space group P4/mbm (No. 127)
Asymmetric unit:
1 Na 0.181 0.319 0.000 [4 per cell]
2 Ga 0.140 0.640 0.500 [4 per cell]
3 Pd 0.000 0.000 0.500 [2 per cell]

=====

This entry pairs a crystal structure of NaGa4Pd4 with its simulated PXRD pattern. Radiation: Cu Ka. Structure: a cell relaxed with PBE.
Peak positions follow from Bragg's law for the DFT cell and can differ from measured ones.

Peak list (10 most intense, 2θ = 5–70°, in order of rising 2θ)
14.90°, rel. 100, hkl 1 1 0; 21.13°, rel. 15, hkl 2 0 0; 33.70°, rel. 67, hkl 3 1 0; 36.31°, rel. 18, hkl 0 0 2; 37.91°, rel. 40, hkl 1 0 2; 42.86°, rel. 38, hkl 3 2 1; 43.02°, rel. 27, hkl 4 0 0; 45.77°, rel. 19, hkl 3 3 0; 49.11°, rel. 33, hkl 3 0 2; 50.37°, rel. 16, hkl 3 1 2

Crystal structure
Unit cell a=8.411 b=8.411 c=4.948 alpha=90.00 beta=90.00 gamma=90.00
Space group P4_2/n (No. 86, origin choice 2)
Asymmetric unit:
1 Na 0.250 0.250 0.250 [2 per cell]
2 Ga 0.060 0.906 0.182 [8 per cell]
3 Pd 0.116 0.869 0.671 [8 per cell]

=====

This entry pairs a crystal structure of NaPm3Ga8 with its simulated PXRD pattern. Radiation: Cu Ka. Structure: a cell relaxed with PBE.
Peak positions follow from Bragg's law for the DFT cell and can differ from measured ones.

Peak list (10 most intense, 2θ = 5–70°, in order of rising 2θ)
9.65°, rel. 9, hkl 0 0 3; 31.99°, rel. 57, hkl 1 1 0; 37.68°, rel. 100, hkl 1 0 10; 37.74°, rel. 34, hkl 2 0 2; 39.48°, rel. 28, hkl 0 2 4; 57.05°, rel. 16, hkl 3 0 0; 60.80°, rel. 24, hkl 2 1 10; 60.87°, rel. 16, hkl 3 0 6; 66.77°, rel. 16, hkl 0 2 16; 66.97°, rel. 17, hkl 2 2 0

Crystal structure
Unit cell a=5.5891 b=5.5891 c=27.4884 alpha=90.00 beta=90.00 gamma=120.00
Space group R3m (No. 160, hexagonal axes)
Asymmetric unit:
1 Na 0.0000 0.0000 0.0000 [3 per cell]
2 Pm 0.0000 0.0000 0.3701 [3 per cell]
3 Pm 0.0000 0.0000 0.4984 [3 per cell]
4 Pm 0.0000 0.0000 0.8789 [3 per cell]
5 Ga 0.0000 0.0000 0.1860 [3 per cell]
6 Ga 0.0000 0.0000 0.6860 [3 per cell]
7 Ga 0.0013 0.5007 0.4367 [9 per cell]
8 Ga 0.1675 0.3350 0.2681 [9 per cell]

=====

This entry pairs a crystal structure of NaPrGa2Pt2 with its simulated PXRD pattern. Radiation: Cu Ka. Structure: a cell relaxed with PBE.
Peak positions follow from Bragg's law for the DFT cell and can differ from measured ones.

Peak list (10 most intense, 2θ = 5–70°, in order of rising 2θ)
25.87°, rel. 20, hkl 0 0 2; 26.37°, rel. 92, hkl 1 0 1; 34.84°, rel. 100, hkl 0 1 2; 40.28°, rel. 100, hkl 1 1 0; 48.49°, rel. 23, hkl 1 1 2; 48.79°, rel. 18, hkl 0 2 1; 54.29°, rel. 28, hkl 2 0 2; 57.49°, rel. 27, hkl 1 1 3; 68.78°, rel. 20, hkl 1 1 4; 69.72°, rel. 26, hkl 1 2 2

Crystal structure
Unit cell a=4.4785 b=4.4785 c=6.8874 alpha=90.00 beta=90.00 gamma=120.00
Space group P-3m1 (No. 164)
Asymmetric unit:
1 Na 0.0000 0.0000 0.0000 [1 per cell]
2 Pr 0.0000 0.0000 0.5000 [1 per cell]
3 Ga 0.3333 0.6667 0.8083 [2 per cell]
4 Pt 0.3333 0.6667 0.2238 [2 per cell]

=====

This entry pairs a crystal structure of Na2PrGaSb2 with its simulated PXRD pattern. Radiation: Cu Ka. Structure: a cell relaxed with PBE.
Peak positions follow from Bragg's law for the DFT cell and can differ from measured ones.

Peak list (10 most intense, 2θ = 5–70°, in order of rising 2θ)
9.75°, rel. 100, hkl 0 1 0; 22.28°, rel. 22, hkl 0 2 1; 24.27°, rel. 35, hkl 1 1 1; 28.96°, rel. 52, hkl 0 2 2; 30.58°, rel. 90, hkl 1 1 2; 35.15°, rel. 26, hkl 1 2 2; 35.61°, rel. 62, hkl 1 3 0; 37.79°, rel. 21, hkl 0 2 3; 39.06°, rel. 28, hkl 1 1 3; 39.49°, rel. 32, hkl 2 0 0

Crystal structure
Unit cell a=4.564 b=9.074 c=8.389 alpha=90.00 beta=90.00 gamma=90.00
Space group Pmc2_1 (No. 26)
Asymmetric unit:
1 Na 0.000 0.092 0.000 [2 per cell]
2 Na 0.500 0.150 0.330 [2 per cell]
3 Pr 0.500 0.478 0.966 [2 per cell]
4 Ga 0.000 0.326 0.613 [2 per cell]
5 Sb 0.000 0.369 0.224 [2 per cell]
6 Sb 0.500 0.182 0.726 [2 per cell]

=====

This entry pairs a crystal structure of Na4Pr3GaSe8 with its simulated PXRD pattern. Radiation: Cu Ka. Structure: a cell relaxed with PBE.
Peak positions follow from Bragg's law for the DFT cell and can differ from measured ones.

Peak list (10 most intense, 2θ = 5–70°, in order of rising 2θ)
12.58°, rel. 59, hkl 0 0 1; 29.65°, rel. 53, hkl 4 0 0; 29.76°, rel. 100, hkl 2 2 -2; 38.71°, rel. 16, hkl 2 2 -3; 42.15°, rel. 18, hkl 4 0 -4; 42.28°, rel. 38, hkl 2 2 2; 42.75°, rel. 37, hkl 6 2 -2; 43.03°, rel. 17, hkl 0 4 0; 53.13°, rel. 18, hkl 4 4 0; 69.50°, rel. 15, hkl 6 2 2

Crystal structure
Unit cell a=14.686 b=8.408 c=8.576 alpha=90.00 beta=124.86 gamma=90.00
Space group C2/m (No. 12)
Asymmetric unit:
1 Na 0.000 0.000 0.000 [2 per cell]
2 Na 0.000 0.500 0.000 [2 per cell]
3 Na 0.250 0.250 0.000 [4 per cell]
4 Pr 0.000 0.000 0.500 [2 per cell]
5 Pr 0.250 0.250 0.500 [4 per cell]
6 Ga 0.000 0.500 0.500 [2 per cell]
7 Se 0.001 0.276 0.278 [8 per cell]
8 Se 0.246 0.000 0.740 [4 per cell]
9 Se 0.248 0.500 0.743 [4 per cell]

=====

Repeat the third record exactly.
This entry pairs a crystal structure of Na2Ga2Pd with its simulated PXRD pattern. Radiation: Cu Ka. Structure: a cell relaxed with PBE.
Peak positions follow from Bragg's law for the DFT cell and can differ from measured ones.

Peak list (10 most intense, 2θ = 5–70°, in order of rising 2θ)
17.42°, rel. 100, hkl 0 0 1; 26.02°, rel. 12, hkl 1 1 1; 30.55°, rel. 14, hkl 2 1 0; 32.53°, rel. 26, hkl 2 0 1; 35.25°, rel. 37, hkl 0 0 2; 35.38°, rel. 67, hkl 2 1 1; 43.76°, rel. 39, hkl 3 1 0; 47.43°, rel. 40, hkl 3 1 1; 53.55°, rel. 12, hkl 2 2 2; 57.39°, rel. 34, hkl 3 1 2

Crystal structure
Unit cell a=6.542 b=6.542 c=5.092 alpha=90.00 beta=90.00 gamma=90.00
Space group P4/mbm (No. 127)
Asymmetric unit:
1 Na 0.181 0.319 0.000 [4 per cell]
2 Ga 0.140 0.640 0.500 [4 per cell]
3 Pd 0.000 0.000 0.500 [2 per cell]